# Li3FeSiO5
Simulated X-ray powder pattern, a wavelength of 1.5418 Å. Input: a structure optimized by DFT (PBE+U).
Lines closer than 0.1° are merged.

Largest 12 diffraction maxima, low angle first, 10° ≤ 2θ ≤ 80°:
index, Position (°2θ), d (Å), I_rel
0 0 1, 14.17, 6.248, 14
0 1 0, 17.00, 5.214, 14
0 1 -1, 18.52, 4.791, 100
-1 1 2, 36.06, 2.491, 10
2 -1 0, 37.01, 2.429, 8
1 1 1, 37.50, 2.398, 10
1 0 -3, 42.93, 2.107, 33
2 -2 1, 45.04, 2.013, 29
1 2 0, 45.36, 1.999, 29
2 2 -3, 63.08, 1.474, 8
-3 2 2, 64.32, 1.448, 8
0 2 3, 65.40, 1.427, 15

Atomic structure:
```
data_Li3FeSiO5
_chemical_formula_sum 'Li6 Fe2 Si2 O10'
_symmetry_space_group_name_H-M 'P -1'
_symmetry_Int_Tables_number 2
_cell_length_a 4.9564
_cell_length_b 5.7076
_cell_length_c 6.6561
_cell_angle_alpha 104.11
_cell_angle_beta 99.52
_cell_angle_gamma 106.30
loop_
_symmetry_equiv_pos_as_xyz
'x,y,z'
'-x,-y,-z'
loop_
_atom_site_label
_atom_site_type_symbol
_atom_site_fract_x
_atom_site_fract_y
_atom_site_fract_z
_atom_site_occupancy
Li1 Li 0.0000 0.0000 0.0000 1
Li2 Li 0.0000 0.5000 0.0000 1
Li3 Li 0.1982 0.4002 0.3983 1
Li4 Li 0.3868 0.8011 0.8208 1
Fe1 Fe 0.1972 0.8940 0.3875 1
Si1 Si 0.4044 0.3047 0.8117 1
O1 O 0.1148 0.9901 0.7138 1
O2 O 0.1240 0.4223 0.7034 1
O3 O 0.3366 0.3740 0.0813 1
O4 O 0.3379 0.8409 0.1163 1
O5 O 0.4919 0.2482 0.5428 1
```